1.
# Co2AsOs
Simulated X-ray diffraction stick pattern, Cu Kα X-rays. Input: the GGA-PBE geometry in Alexandria.

Atomic structure:
Cell lengths 4.1603, 4.1603, 4.1603 Å; angles 60.00, 60.00, 60.00 degrees
Positions (direct):
Co1 0.0000 0.0000 0.0000
Co2 0.2500 0.2500 0.2500
As1 0.5000 0.5000 0.5000
Os1 0.7500 0.7500 0.7500

Main lines, low angle first (2θ = 5–70°):
2θ/deg, intensity
26.24, 26
30.38, 10
43.51, 100
51.52, 13
53.99, 3
63.22, 16
69.66, 6

2.
# Pm2CoAs
Simulated X-ray diffraction stick pattern, Cu Kα X-rays. Input: the GGA-PBE geometry in Alexandria.

Atomic structure:
Cell lengths 5.0246, 5.0246, 5.0246 Å; angles 60.00, 60.00, 60.00 degrees
Positions (direct):
Pm1 0.2500 0.2500 0.2500
Pm2 0.7500 0.7500 0.7500
Co1 0.0000 0.0000 0.0000
As1 0.5000 0.5000 0.5000

Main lines, low angle first (2θ = 5–70°):
2θ/deg, intensity
25.06, 16
35.74, 100
44.15, 5
51.44, 17
58.05, 7
64.21, 35

3.
# PrCo3As3
Simulated X-ray diffraction stick pattern, Cu Kα X-rays. Input: the GGA-PBE geometry in Alexandria.

Atomic structure:
Cell lengths 6.3792, 6.3792, 6.3792 Å; angles 90.00, 90.00, 90.00 degrees
Positions (direct):
Pr1 0.0000 0.0000 0.0000
Pr2 0.5000 0.5000 0.5000
Co1 0.0000 0.2500 0.5000
Co2 0.0000 0.7500 0.5000
Co3 0.2500 0.5000 0.0000
Co4 0.5000 0.0000 0.2500
Co5 0.5000 0.0000 0.7500
Co6 0.7500 0.5000 0.0000
As1 0.0000 0.5000 0.2500
As2 0.0000 0.5000 0.7500
As3 0.2500 0.0000 0.5000
As4 0.5000 0.2500 0.0000
As5 0.5000 0.7500 0.0000
As6 0.7500 0.0000 0.5000

Main lines, low angle first (2θ = 5–70°):
2θ/deg, intensity
27.97, 43
31.36, 1
34.44, 100
49.50, 11
53.77, 55
57.82, 21
65.43, 15
69.06, 13

4.
# PrCo3As3
Simulated X-ray diffraction stick pattern, Cu Kα X-rays. Input: the GGA-PBE geometry in Alexandria.

Atomic structure:
Cell lengths 7.8343, 7.8343, 7.8343 Å; angles 50.40, 50.40, 50.40 degrees
Positions (direct):
Pr1 0.1671 0.1671 0.1671
Pr2 0.8329 0.8329 0.8329
Co1 0.0229 0.7229 0.3774
Co2 0.2771 0.6226 0.9771
Co3 0.3774 0.0229 0.7229
Co4 0.6226 0.9771 0.2771
Co5 0.7229 0.3774 0.0229
Co6 0.9771 0.2771 0.6226
As1 0.0981 0.4021 0.7145
As2 0.2855 0.9019 0.5979
As3 0.4021 0.7145 0.0981
As4 0.5979 0.2855 0.9019
As5 0.7145 0.0981 0.4021
As6 0.9019 0.5979 0.2855

Main lines, low angle first (2θ = 5–70°):
2θ/deg, intensity
15.94, 13
26.70, 13
29.81, 100
37.72, 56
39.63, 22
47.19, 68
48.45, 31
56.83, 15
61.93, 12
63.28, 29

5.
# CoAsPt2
Simulated X-ray diffraction stick pattern, Cu Kα X-rays. Input: the GGA-PBE geometry in Alexandria.

Atomic structure:
Cell lengths 3.6200, 5.9427, 5.9427 Å; angles 27.52, 90.00, 90.00 degrees
Positions (direct):
Co1 0.0000 0.0000 0.0000
As1 0.5000 0.4255 0.4255
Pt1 0.0000 0.2783 0.2783
Pt2 0.5000 0.6380 0.6380

Main lines, low angle first (2θ = 5–70°):
2θ/deg, intensity
15.35, 27
29.12, 50
32.61, 23
39.56, 53
39.95, 93
41.27, 100
47.24, 16
50.42, 28
51.08, 25
65.91, 24

6.
# CoReAs6
Simulated X-ray diffraction stick pattern, Cu Kα X-rays. Input: the GGA-PBE geometry in Alexandria.

Atomic structure:
Cell lengths 5.5532, 5.5532, 5.6621 Å; angles 90.30, 90.30, 98.94 degrees
Positions (direct):
Co1 0.0000 0.0000 0.0000
Re1 0.0055 0.9945 0.5000
As1 0.0182 0.6554 0.7601
As2 0.2789 0.2880 0.7758
As3 0.3446 0.9818 0.2399
As4 0.7120 0.7211 0.2242
As5 0.7482 0.2352 0.7602
As6 0.7648 0.2518 0.2398

Main lines, low angle first (2θ = 5–70°):
2θ/deg, intensity
16.16, 100
22.50, 38
29.46, 21
37.78, 33
38.28, 22
38.93, 26
45.93, 26
46.23, 23
47.33, 18
49.87, 20